Computed powder XRD pattern of InSn6Pb3 for Cu Kα, from DFT lattice parameters and positions (PBE).
Lines closer than 0.1° are merged.

Most intense lines, 2θ = 5–70°, low angle first:
index, d [Å], two_theta, I_rel
2 2 0, 3.844, 23.14, 20.0
4 1 0, 2.906, 30.77, 38.2
3 2 1, 2.887, 30.97, 100.0
3 1 2, 2.834, 31.57, 83.6
1 1 3, 2.750, 32.56, 80.4
2 4 1, 2.421, 37.14, 50.3
1 6 1, 1.979, 45.85, 28.1
3 4 2, 1.962, 46.28, 28.6
1 3 4, 1.896, 47.99, 26.5
8 0 2, 1.558, 59.32, 32.1

a = 15.3779 Å, b = 15.3779 Å, c = 8.8351 Å
α = 90.00°, β = 90.00°, γ = 120.00°
Space group R-3c (No. 167, hexagonal axes)
Symmetry-distinct sites (fractional):
In 0.0000 0.0000 0.2500 [6 per cell]
Sn 0.0508 0.2091 0.0850 [36 per cell]
Pb 0.0000 0.2611 0.7500 [18 per cell]

***

Computed powder XRD pattern of SbPdO4 for Cu Kα, from DFT lattice parameters and positions (PBE).
Lines closer than 0.1° are merged.

Most intense lines, 2θ = 5–70°, low angle first:
index, d [Å], two_theta, I_rel
0 1 1, 3.648, 24.40, 46.6
1 1 1, 2.997, 29.81, 100.0
2 0 0, 2.628, 34.12, 18.4
1 0 2, 2.538, 35.37, 31.8
2 1 1, 2.132, 42.39, 18.4
0 1 3, 1.787, 51.12, 15.8
2 2 0, 1.751, 52.25, 20.2
1 2 2, 1.723, 53.15, 32.6
3 1 1, 1.579, 58.44, 15.3
2 1 3, 1.477, 62.90, 16.1

a = 5.255 Å, b = 4.695 Å, c = 5.796 Å
α = 90.00°, β = 90.00°, γ = 90.00°
Space group Pnc2 (No. 30)
Symmetry-distinct sites (fractional):
Sb 0.000 0.000 0.000 [2 per cell]
Pd 0.500 0.000 0.305 [2 per cell]
O 0.165 0.235 0.266 [4 per cell]
O 0.318 0.731 0.549 [4 per cell]

***

Computed powder XRD pattern of Ca7Sn6 for Cu Kα, from DFT lattice parameters and positions (PBE).
Lines closer than 0.1° are merged.

Most intense lines, 2θ = 5–70°, low angle first:
index, d [Å], two_theta, I_rel
1 3 1, 4.680, 18.96, 87.4
0 6 0, 3.985, 22.31, 58.4
1 4 2, 3.167, 28.18, 35.2
1 5 2, 2.942, 30.38, 100.0
0 6 2, 2.901, 30.82, 51.5
2 5 1, 2.869, 31.17, 80.3
1 1 3, 2.643, 33.92, 33.8
3 0 1, 2.520, 35.63, 99.6
1 10 1, 2.209, 40.86, 43.3
3 6 1, 2.129, 42.45, 32.9

a = 7.917 Å, b = 23.902 Å, c = 8.469 Å
α = 90.00°, β = 90.00°, γ = 90.00°
Space group Pnma (No. 62)
Symmetry-distinct sites (fractional):
Ca 0.004 0.163 0.174 [8 per cell]
Ca 0.166 0.750 0.495 [4 per cell]
Ca 0.171 0.022 0.326 [8 per cell]
Ca 0.172 0.148 0.679 [8 per cell]
Sn 0.000 0.058 0.942 [8 per cell]
Sn 0.042 0.750 0.136 [4 per cell]
Sn 0.159 0.599 0.524 [8 per cell]
Sn 0.208 0.250 0.386 [4 per cell]

***

Computed powder XRD pattern of LaTh2Sb3 for Cu Kα, from DFT lattice parameters and positions (PBE).
Lines closer than 0.1° are merged.

Most intense lines, 2θ = 5–70°, low angle first:
index, d [Å], two_theta, I_rel
0 1 3, 3.707, 24.01, 9.9
1 0 3, 3.210, 27.79, 100.0
0 0 6, 2.277, 39.59, 13.0
2 0 0, 2.268, 39.74, 64.6
0 2 6, 1.856, 49.07, 14.1
2 2 0, 1.850, 49.25, 14.0
0 4 0, 1.605, 57.41, 13.2
1 0 9, 1.439, 64.78, 6.1
2 2 6, 1.436, 64.95, 12.2
3 0 3, 1.434, 65.03, 18.2

a = 4.530 Å, b = 6.414 Å, c = 13.660 Å
α = 90.00°, β = 90.00°, γ = 90.00°
Space group Immm (No. 71)
Symmetry-distinct sites (fractional):
La 0.000 0.000 0.000 [2 per cell]
Th 0.000 0.000 0.335 [4 per cell]
Sb 0.000 0.500 0.000 [2 per cell]
Sb 0.000 0.500 0.330 [4 per cell]

***

Computed powder XRD pattern of Ce2Pt3Au2 for Cu Kα, from DFT lattice parameters and positions (PBE).
Lines closer than 0.1° are merged.

Most intense lines, 2θ = 5–70°, low angle first:
index, d [Å], two_theta, I_rel
2 0 1, 4.448, 19.96, 13.9
3 1 -2, 2.929, 30.52, 17.1
3 1 1, 2.601, 34.48, 100.0
3 1 -4, 2.370, 37.97, 77.1
0 0 5, 2.201, 41.01, 20.0
0 2 0, 2.156, 41.90, 38.4
6 0 -3, 2.085, 43.41, 23.7
1 1 -5, 2.056, 44.03, 12.0
0 2 5, 1.540, 60.07, 14.2
6 2 -3, 1.499, 61.92, 16.7

a = 12.630 Å, b = 4.312 Å, c = 11.995 Å
α = 90.00°, β = 113.45°, γ = 90.00°
Space group C2/m (No. 12)
Symmetry-distinct sites (fractional):
Ce 0.074 0.000 0.348 [4 per cell]
Ce 0.158 0.000 0.080 [4 per cell]
Pt 0.015 0.500 0.887 [4 per cell]
Pt 0.155 0.000 0.853 [4 per cell]
Pt 0.172 0.500 0.507 [4 per cell]
Au 0.099 0.500 0.687 [4 per cell]
Au 0.230 0.500 0.304 [4 per cell]

***

Computed powder XRD pattern of SmSc3Ni8 for Cu Kα, from DFT lattice parameters and positions (PBE).
Lines closer than 0.1° are merged.

Most intense lines, 2θ = 5–70°, low angle first:
index, d [Å], two_theta, I_rel
1 0 1, 3.795, 23.44, 23.2
1 0 2, 2.947, 30.33, 18.1
1 1 0, 2.480, 36.23, 30.7
1 0 3, 2.286, 39.42, 72.3
1 1 2, 2.115, 42.76, 100.0
2 0 1, 2.076, 43.60, 89.0
0 0 4, 2.025, 44.75, 17.9
0 2 2, 1.897, 47.95, 20.6
2 1 3, 1.391, 67.30, 27.2
0 0 6, 1.350, 69.66, 25.1

a = 4.9594 Å, b = 4.9594 Å, c = 8.1007 Å
α = 90.00°, β = 90.00°, γ = 120.00°
Space group P3m1 (No. 156)
Symmetry-distinct sites (fractional):
Sm 0.0000 0.0000 0.0000 [1 per cell]
Sc 0.0000 0.0000 0.3798 [1 per cell]
Sc 0.6667 0.3333 0.4913 [1 per cell]
Sc 0.6667 0.3333 0.8554 [1 per cell]
Ni 0.1668 0.3336 0.6772 [3 per cell]
Ni 0.3333 0.6667 0.4316 [1 per cell]
Ni 0.3333 0.6667 0.9312 [1 per cell]
Ni 0.5015 0.0029 0.1897 [3 per cell]

***

Computed powder XRD pattern of Li5AgAu2 for Cu Kα, from DFT lattice parameters and positions (PBE).
Lines closer than 0.1° are merged.

Most intense lines, 2θ = 5–70°, low angle first:
index, d [Å], two_theta, I_rel
0 0 2, 6.103, 14.51, 68.2
1 0 1, 4.282, 20.75, 20.2
1 1 0, 3.233, 27.59, 100.0
0 0 4, 3.051, 29.27, 43.2
1 1 2, 2.857, 31.31, 45.1
2 0 0, 2.286, 39.41, 46.0
1 1 4, 2.219, 40.66, 84.2
2 0 2, 2.141, 42.21, 21.4
2 0 4, 1.829, 49.85, 43.2
3 1 0, 1.446, 64.44, 18.5

a = 4.572 Å, b = 4.572 Å, c = 12.205 Å
α = 90.00°, β = 90.00°, γ = 90.00°
Space group I4/mmm (No. 139)
Symmetry-distinct sites (fractional):
Li 0.000 0.000 0.000 [2 per cell]
Li 0.000 0.500 0.134 [8 per cell]
Ag 0.000 0.000 0.500 [2 per cell]
Au 0.000 0.000 0.251 [4 per cell]

***

Computed powder XRD pattern of NbPb2Se2ClO8 for Cu Kα, from DFT lattice parameters and positions (PBE).
Lines closer than 0.1° are merged.

Most intense lines, 2θ = 5–70°, low angle first:
index, d [Å], two_theta, I_rel
1 0 -1, 8.085, 10.94, 30.6
1 1 -2, 3.828, 23.24, 59.1
1 0 -3, 3.657, 24.34, 29.6
0 0 3, 3.374, 26.42, 21.7
2 0 -3, 3.308, 26.95, 22.8
2 1 0, 3.290, 27.10, 100.0
1 1 2, 3.079, 29.00, 42.8
2 1 1, 2.877, 31.08, 31.6
2 1 -3, 2.836, 31.55, 37.3
0 2 0, 2.753, 32.52, 41.1

a = 8.900 Å, b = 5.506 Å, c = 10.975 Å
α = 90.00°, β = 112.75°, γ = 90.00°
Space group P2_1 (No. 4)
Symmetry-distinct sites (fractional):
Nb 0.158 0.000 0.071 [2 per cell]
Pb 0.180 0.992 0.476 [2 per cell]
Pb 0.318 0.440 0.793 [2 per cell]
Se 0.021 0.002 0.732 [2 per cell]
Se 0.383 0.502 0.209 [2 per cell]
Cl 0.339 0.510 0.537 [2 per cell]
O 0.026 0.300 0.037 [2 per cell]
O 0.065 0.223 0.633 [2 per cell]
O 0.079 0.745 0.671 [2 per cell]
O 0.172 0.938 0.237 [2 per cell]
O 0.186 0.071 0.876 [2 per cell]
O 0.324 0.715 0.078 [2 per cell]
O 0.371 0.228 0.124 [2 per cell]
O 0.412 0.048 0.729 [2 per cell]

***

Computed powder XRD pattern of TbNd2YTm for Cu Kα, from DFT lattice parameters and positions (PBE).
Lines closer than 0.1° are merged.

Most intense lines, 2θ = 5–70°, low angle first:
index, d [Å], two_theta, I_rel
0 2 0, 5.798, 15.28, 35.5
2 2 0, 3.403, 26.19, 37.5
1 1 2, 3.207, 27.82, 37.4
0 2 2, 3.080, 28.99, 43.3
0 4 0, 2.899, 30.85, 55.6
2 0 2, 2.750, 32.56, 100.0
1 3 2, 2.526, 35.54, 50.8
3 3 0, 2.269, 39.73, 47.3
2 4 2, 1.995, 45.46, 61.2
5 3 2, 1.419, 65.81, 36.5

a = 8.407 Å, b = 11.595 Å, c = 7.271 Å
α = 90.00°, β = 90.00°, γ = 90.00°
Space group Cmcm (No. 63)
Symmetry-distinct sites (fractional):
Tb 0.000 0.216 0.250 [4 per cell]
Nd 0.195 0.000 0.000 [8 per cell]
Y 0.000 0.242 0.750 [4 per cell]
Tm 0.000 0.480 0.250 [4 per cell]

***

Computed powder XRD pattern of SmTcGe2 for Cu Kα, from DFT lattice parameters and positions (PBE).
Lines closer than 0.1° are merged.

Most intense lines, 2θ = 5–70°, low angle first:
index, d [Å], two_theta, I_rel
1 1 2, 2.983, 29.95, 57.0
2 1 0, 2.761, 32.43, 68.5
2 1 1, 2.668, 33.59, 48.1
0 0 4, 2.583, 34.73, 35.0
1 1 3, 2.506, 35.83, 100.0
2 1 3, 2.154, 41.94, 50.4
0 2 0, 2.110, 42.86, 56.4
3 0 3, 1.988, 45.64, 34.8
4 1 0, 1.676, 54.79, 31.9
3 2 3, 1.447, 64.39, 27.6

a = 7.301 Å, b = 4.221 Å, c = 10.333 Å
α = 90.00°, β = 90.00°, γ = 90.00°
Space group Pnma (No. 62)
Symmetry-distinct sites (fractional):
Sm 0.158 0.250 0.131 [4 per cell]
Tc 0.022 0.750 0.394 [4 per cell]
Ge 0.140 0.250 0.812 [4 per cell]
Ge 0.207 0.250 0.432 [4 per cell]

***

Computed powder XRD pattern of GaP2 for Cu Kα, from DFT lattice parameters and positions (PBE).
Lines closer than 0.1° are merged.

Most intense lines, 2θ = 5–70°, low angle first:
index, d [Å], two_theta, I_rel
0 0 1, 4.232, 20.99, 45.1
2 0 0, 4.043, 21.98, 76.8
1 1 -1, 3.682, 24.17, 42.1
2 0 -1, 3.578, 24.88, 70.0
0 2 1, 2.634, 34.04, 100.0
2 2 0, 2.587, 34.68, 63.8
2 0 1, 2.533, 35.44, 43.9
2 2 -1, 2.451, 36.66, 45.3
2 2 -2, 1.841, 49.51, 38.5
0 2 2, 1.792, 50.95, 74.0

a = 8.576 Å, b = 6.730 Å, c = 4.488 Å
α = 90.00°, β = 109.44°, γ = 90.00°
Space group C2/m (No. 12)
Symmetry-distinct sites (fractional):
Ga 0.000 0.232 0.000 [4 per cell]
P 0.095 0.500 0.738 [4 per cell]
P 0.173 0.000 0.367 [4 per cell]